This entry pairs a crystal structure of Pu3BiH2 with its theoretical PXRD pattern. Radiation: Cu Kα, 1.54184 Å. Structure: a GGA-PBE-relaxed structure.
No peak broadening, texture or thermal motion is included.

Principal peaks in the range 5° ≤ 2θ ≤ 70°, by intensity:
d 2.806, I 100.0; d 2.325, I 30.3; d 1.760, I 26.5; d 1.418, I 26.4; d 2.692, I 22.6; d 1.575, I 18.6; d 1.403, I 12.8; d 1.644, I 10.7; d 1.346, I 2.8

Structural model:
```
Pu3BiH2
1.0
4.6493 0.0000 0.0000
0.0000 4.6493 0.0000
0.0000 0.0000 10.7697
Pu Bi H
6 2 4
direct
0.2500 0.2500 0.2496
0.2500 0.7500 0.0000
0.2500 0.7500 0.5000
0.7500 0.2500 0.0000
0.7500 0.2500 0.5000
0.7500 0.7500 0.7504
0.2500 0.2500 0.7499
0.7500 0.7500 0.2501
0.2500 0.2500 0.0423
0.2500 0.2500 0.4568
0.7500 0.7500 0.5432
0.7500 0.7500 0.9577
```